For CsBaBi2Rh, a cell relaxed with PBE gives the computed X-ray diffraction stick pattern in this record (Cu Kα, 1.54184 Å).

Cell and atoms:
```
CsBaBi2Rh
1.0
5.5811 0.0000 0.0000
0.0000 5.5811 0.0000
0.0000 0.0000 5.7249
Cs Ba Bi Rh
1 1 2 1
direct
0.0000 0.0000 0.0000 Cs
0.5000 0.5000 0.0000 Ba
0.0000 0.5000 0.5000 Bi
0.5000 0.0000 0.5000 Bi
0.0000 0.0000 0.5000 Rh
```

Top 12 peaks for 2θ = 5–70°, sorted by position:
2θ/deg  I_rel
15.48  19
15.88  7
27.45  100
31.25  34
32.07  64
35.80  10
45.39  49
46.00  24
53.32  16
54.40  31
56.66  25
67.08  8



For Cs2BaSnBi2, a cell relaxed with PBE gives the computed X-ray diffraction stick pattern in this record (Cu Kα, 1.54184 Å).

Cell and atoms:
```
Cs2BaSnBi2
1.0
4.9480 0.0000 0.0000
0.0000 10.8153 0.0000
0.0000 0.0000 10.3359
Cs Ba Sn Bi
4 2 2 4
direct
0.0000 0.0889 0.0000 Cs
0.0000 0.9111 0.5000 Cs
0.5000 0.1961 0.3219 Cs
0.5000 0.8039 0.8219 Cs
0.5000 0.4413 0.8790 Ba
0.5000 0.5587 0.3790 Ba
0.0000 0.2921 0.5882 Sn
0.0000 0.7079 0.0882 Sn
0.0000 0.4385 0.1566 Bi
0.0000 0.5615 0.6566 Bi
0.5000 0.1579 0.7161 Bi
0.5000 0.8421 0.2161 Bi
```

Top 12 peaks for 2θ = 5–70°, sorted by position:
2θ/deg  I_rel
24.70  14
24.91  65
25.88  19
26.24  100
30.74  50
31.91  38
35.73  16
36.31  31
38.95  16
46.47  16
48.32  20
48.46  15



For BaYCuBiO5, a cell relaxed with PBE gives the computed X-ray diffraction stick pattern in this record (Cu Kα, 1.54184 Å).

Cell and atoms:
```
BaYCuBiO5
1.0
3.9366 0.0000 0.0000
0.0000 3.9366 0.0000
0.0000 0.0000 9.2707
Ba Y Cu Bi O
1 1 1 1 5
direct
0.0000 0.0000 0.0000 Ba
0.0000 0.0000 0.3932 Y
0.5000 0.5000 0.2139 Cu
0.5000 0.5000 0.6577 Bi
0.0000 0.5000 0.2296 O
0.0000 0.5000 0.5356 O
0.5000 0.0000 0.2296 O
0.5000 0.0000 0.5356 O
0.5000 0.5000 0.9156 O
```

Top 12 peaks for 2θ = 5–70°, sorted by position:
2θ/deg  I_rel
24.57  46
28.89  14
29.78  100
32.16  48
36.98  12
43.77  28
45.41  11
46.12  29
51.29  11
52.94  12
54.72  12
55.86  34